# 1
# EuSn3
Calculated powder XRD pattern, Cu Kα (weighted mean of Kα1 and Kα2). Input: a crystal structure in the Materials Project, relaxed with PBE.

```
EuSn3
1.0
4.791 0.000 0.000
0.000 4.791 0.000
0.000 0.000 4.791
Eu Sn
1 3
Cartesian
0.000 0.000 0.000
0.000 2.396 2.396
2.396 0.000 2.396
2.396 2.396 0.000
```

Main lines, by angle (10 to 90 degrees two-theta):
- 4.791 Å, I 1
- 3.388 Å, I 1
- 2.766 Å, I 100
- 2.396 Å, I 51
- 1.694 Å, I 36
- 1.445 Å, I 43
- 1.383 Å, I 12
- 1.198 Å, I 6
- 1.099 Å, I 19


# 2
# EuSn
Calculated powder XRD pattern, Cu Kα (weighted mean of Kα1 and Kα2). Input: a crystal structure in the Materials Project, relaxed with PBE.

```
EuSn
1.0
2.471 -5.950 0.000
2.471 5.950 0.000
0.000 0.000 4.472
Eu Sn
2 2
Cartesian
2.471 4.350 3.354
2.471 -4.350 1.118
2.471 0.978 3.354
2.471 -0.978 1.118
```

Main lines, by angle (10 to 90 degrees two-theta):
- 3.194 Å, I 100
- 3.093 Å, I 25
- 2.975 Å, I 29
- 2.544 Å, I 78
- 2.473 Å, I 48
- 2.236 Å, I 23
- 1.901 Å, I 16
- 1.812 Å, I 18
- 1.658 Å, I 19
- 1.608 Å, I 14
- 1.440 Å, I 14
- 1.305 Å, I 14